Entry 1:
Diffraction record for Li4Mg3Al. The XRD peak list is calculated, not measured: it uses a crystal structure in Alexandria, relaxed with PBE and Cu Kα, 1.54184 Å.
Peak positions follow from Bragg's law for the DFT cell and can differ from measured ones.

Crystal structure
```
data_Li4Mg3Al
_symmetry_space_group_name_H-M 'P m n 21'
_symmetry_Int_Tables_number 31
_cell_length_a 6.761
_cell_length_b 6.739
_cell_length_c 6.841
_cell_angle_alpha 90.00
_cell_angle_beta 90.00
_cell_angle_gamma 90.00
loop_
_symmetry_equiv_pos_as_xyz
'x,y,z'
'-x+1/2,-y,z+1/2'
'-x,y,z'
'x+1/2,-y,z+1/2'
loop_
_atom_site_label
_atom_site_fract_x
_atom_site_fract_y
_atom_site_fract_z
Li1 0.000 0.000 0.000
Li2 0.000 0.500 0.000
Li3 0.249 0.233 0.749
Mg1 0.000 0.501 0.498
Mg2 0.250 0.236 0.249
Al1 0.000 0.999 0.499
```

Largest 10 diffraction maxima, most intense first, 5 to 70 degrees two-theta:
hkl 2 0 2, 2θ = 37.43°, rel. 100.0; hkl 1 0 1, 2θ = 18.46°, rel. 72.6; hkl 2 2 0, 2θ = 37.69°, rel. 48.6; hkl 1 2 1, 2θ = 32.42°, rel. 34.1; hkl 2 2 4, 2θ = 67.36°, rel. 16.6; hkl 4 2 2, 2θ = 67.81°, rel. 16.3; hkl 2 4 2, 2θ = 67.94°, rel. 15.4; hkl 1 2 3, 2θ = 50.14°, rel. 9.4; hkl 0 0 4, 2θ = 53.59°, rel. 8.7; hkl 4 0 0, 2θ = 54.27°, rel. 8.3

***

Entry 2:
Diffraction record for IrBr2. The XRD peak list is calculated, not measured: it uses a crystal structure in Alexandria, relaxed with PBE and Cu Kα, 1.54184 Å.
Peak positions follow from Bragg's law for the DFT cell and can differ from measured ones.

Crystal structure
```
data_IrBr2
_symmetry_space_group_name_H-M 'C m c m'
_symmetry_Int_Tables_number 63
_symmetry_space_group_name_Hall '-C 2c 2'
_cell_length_a 3.616
_cell_length_b 26.066
_cell_length_c 3.223
_cell_angle_alpha 90.00
_cell_angle_beta 90.00
_cell_angle_gamma 90.00
loop_
_atom_site_label
_atom_site_fract_x
_atom_site_fract_y
_atom_site_fract_z
Ir1 0.000 0.126 0.250
Br1 0.000 0.312 0.750
Br2 0.000 0.429 0.250
```

Largest 10 diffraction maxima, most intense first, 5 to 70 degrees two-theta:
hkl 0 4 0, 2θ = 13.59°, rel. 100.0; hkl 1 7 0, 2θ = 34.60°, rel. 47.6; hkl 1 3 1, 2θ = 38.84°, rel. 44.8; hkl 0 2 1, 2θ = 28.53°, rel. 28.4; hkl 1 7 1, 2θ = 44.85°, rel. 20.3; hkl 0 4 1, 2θ = 30.95°, rel. 19.2; hkl 1 5 0, 2θ = 30.08°, rel. 18.6; hkl 1 9 0, 2θ = 39.88°, rel. 15.4; hkl 0 0 2, 2θ = 57.15°, rel. 14.9; hkl 0 4 2, 2θ = 59.02°, rel. 12.4

***

Entry 3:
Diffraction record for Dy2YMg8. The XRD peak list is calculated, not measured: it uses a crystal structure in Alexandria, relaxed with PBE and Cu Kα, 1.54184 Å.
Peak positions follow from Bragg's law for the DFT cell and can differ from measured ones.

Crystal structure
```
data_Dy2YMg8
_symmetry_space_group_name_H-M 'C 1 2/m 1'
_symmetry_Int_Tables_number 12
_cell_length_a 15.971
_cell_length_b 5.028
_cell_length_c 7.309
_cell_angle_alpha 90.00
_cell_angle_beta 108.34
_cell_angle_gamma 90.00
loop_
_symmetry_equiv_pos_as_xyz
'x,y,z'
'-x,-y,-z'
'-x,y,-z'
'x,-y,z'
'x+1/2,y+1/2,z'
'-x+1/2,-y+1/2,-z'
'-x+1/2,y+1/2,-z'
'x+1/2,-y+1/2,z'
loop_
_atom_site_label
_atom_site_fract_x
_atom_site_fract_y
_atom_site_fract_z
Dy1 0.222 0.000 0.140
Y1 0.000 0.500 0.500
Mg1 0.027 0.000 0.218
Mg2 0.089 0.500 0.965
Mg3 0.141 0.000 0.653
Mg4 0.178 0.500 0.396
```

Largest 10 diffraction maxima, most intense first, 5 to 70 degrees two-theta:
hkl 1 1 2, 2θ = 33.42°, rel. 100.0; hkl 1 1 -1, 2θ = 21.53°, rel. 34.0; hkl 2 0 0, 2θ = 11.68°, rel. 24.9; hkl 0 2 0, 2θ = 35.71°, rel. 21.6; hkl 2 0 1, 2θ = 19.88°, rel. 21.3; hkl 4 0 -3, 2θ = 38.70°, rel. 18.0; hkl 1 3 2, 2θ = 62.70°, rel. 15.8; hkl 6 0 1, 2θ = 41.72°, rel. 14.0; hkl 3 1 -2, 2θ = 31.75°, rel. 13.8; hkl 4 0 0, 2θ = 23.47°, rel. 13.5

***

Entry 4:
Diffraction record for HfBeF6. The XRD peak list is calculated, not measured: it uses a crystal structure in Alexandria, relaxed with PBE and Cu Kα, 1.54184 Å.
Peak positions follow from Bragg's law for the DFT cell and can differ from measured ones.

Crystal structure
```
data_HfBeF6
_symmetry_space_group_name_H-M 'R -3'
_symmetry_Int_Tables_number 148
_symmetry_space_group_name_Hall '-R 3'
_cell_length_a 5.2218
_cell_length_b 5.2218
_cell_length_c 13.0778
_cell_angle_alpha 90.00
_cell_angle_beta 90.00
_cell_angle_gamma 120.00
loop_
_atom_site_label
_atom_site_fract_x
_atom_site_fract_y
_atom_site_fract_z
Hf1 0.0000 0.0000 0.0000
Be1 0.0000 0.0000 0.5000
F1 0.0219 0.5691 0.2447
```

Largest 10 diffraction maxima, most intense first, 5 to 70 degrees two-theta:
hkl 0 1 2, 2θ = 23.92°, rel. 100.0; hkl 1 0 1, 2θ = 20.78°, rel. 69.8; hkl 2 -1 3, 2θ = 40.26°, rel. 35.1; hkl 0 0 3, 2θ = 20.37°, rel. 24.3; hkl 0 2 4, 2θ = 48.98°, rel. 21.8; hkl 1 1 6, 2θ = 54.87°, rel. 20.7; hkl 1 0 4, 2θ = 33.83°, rel. 18.9; hkl 1 2 2, 2θ = 55.57°, rel. 17.0; hkl 0 1 5, 2θ = 39.81°, rel. 16.7; hkl 3 -1 1, 2θ = 54.11°, rel. 16.5

***

Entry 5:
Diffraction record for KNa4I5. The XRD peak list is calculated, not measured: it uses a crystal structure in Alexandria, relaxed with PBE and Cu Kα, 1.54184 Å.
Peak positions follow from Bragg's law for the DFT cell and can differ from measured ones.

Crystal structure
```
data_KNa4I5
_symmetry_space_group_name_H-M 'I 4/m m m'
_symmetry_Int_Tables_number 139
_symmetry_space_group_name_Hall '-I 4 2'
_cell_length_a 4.742
_cell_length_b 4.742
_cell_length_c 33.128
_cell_angle_alpha 90.00
_cell_angle_beta 90.00
_cell_angle_gamma 90.00
loop_
_atom_site_label
_atom_site_fract_x
_atom_site_fract_y
_atom_site_fract_z
K1 0.000 0.000 0.000
Na1 0.000 0.000 0.202
Na2 0.000 0.000 0.397
I1 0.000 0.000 0.106
I2 0.000 0.000 0.299
I3 0.000 0.000 0.500
```

Largest 10 diffraction maxima, most intense first, 5 to 70 degrees two-theta:
hkl 1 0 5, 2θ = 23.07°, rel. 100.0; hkl 1 1 0, 2θ = 26.59°, rel. 90.6; hkl 1 1 10, 2θ = 38.19°, rel. 63.8; hkl 0 0 10, 2θ = 26.91°, rel. 41.2; hkl 2 0 10, 2θ = 47.14°, rel. 34.4; hkl 2 1 5, 2θ = 44.88°, rel. 34.0; hkl 2 0 0, 2θ = 37.95°, rel. 33.9; hkl 3 1 10, 2θ = 68.72°, rel. 21.5; hkl 3 1 0, 2θ = 61.88°, rel. 15.7; hkl 2 2 10, 2θ = 62.05°, rel. 15.0

***

Entry 6:
Diffraction record for PrZn2Ge2. The XRD peak list is calculated, not measured: it uses a crystal structure in Alexandria, relaxed with PBE and Cu Kα, 1.54184 Å.
Peak positions follow from Bragg's law for the DFT cell and can differ from measured ones.

Crystal structure
```
data_PrZn2Ge2
_symmetry_space_group_name_H-M 'P n m a'
_symmetry_Int_Tables_number 62
_cell_length_a 8.066
_cell_length_b 4.574
_cell_length_c 10.958
_cell_angle_alpha 90.00
_cell_angle_beta 90.00
_cell_angle_gamma 90.00
loop_
_symmetry_equiv_pos_as_xyz
'x,y,z'
'-x,-y,-z'
'-x+1/2,-y,z+1/2'
'x+1/2,y,-z+1/2'
'x+1/2,-y+1/2,-z+1/2'
'-x+1/2,y+1/2,z+1/2'
'-x,y+1/2,-z'
'x,-y+1/2,z'
loop_
_atom_site_label
_atom_site_fract_x
_atom_site_fract_y
_atom_site_fract_z
Pr1 0.239 0.250 0.179
Zn1 0.093 0.250 0.461
Zn2 0.107 0.250 0.852
Ge1 0.063 0.750 0.339
Ge2 0.094 0.750 0.966
```

Largest 10 diffraction maxima, most intense first, 5 to 70 degrees two-theta:
hkl 1 1 3, 2θ = 33.30°, rel. 100.0; hkl 2 1 1, 2θ = 30.66°, rel. 49.7; hkl 3 0 2, 2θ = 37.25°, rel. 43.9; hkl 0 2 0, 2θ = 39.40°, rel. 40.6; hkl 3 2 2, 2θ = 55.34°, rel. 27.5; hkl 2 1 5, 2θ = 51.49°, rel. 15.9; hkl 1 0 4, 2θ = 34.58°, rel. 14.8; hkl 2 0 2, 2θ = 27.46°, rel. 13.9; hkl 3 1 1, 2θ = 39.75°, rel. 13.0; hkl 1 3 3, 2θ = 67.58°, rel. 12.4

***

Entry 7:
Diffraction record for SrRu2C3. The XRD peak list is calculated, not measured: it uses a crystal structure in Alexandria, relaxed with PBE and Cu Kα, 1.54184 Å.
Peak positions follow from Bragg's law for the DFT cell and can differ from measured ones.

Crystal structure
```
data_SrRu2C3
_symmetry_space_group_name_H-M 'C m c m'
_symmetry_Int_Tables_number 63
_symmetry_space_group_name_Hall '-C 2c 2'
_cell_length_a 7.081
_cell_length_b 9.973
_cell_length_c 5.375
_cell_angle_alpha 90.00
_cell_angle_beta 90.00
_cell_angle_gamma 90.00
loop_
_atom_site_label
_atom_site_fract_x
_atom_site_fract_y
_atom_site_fract_z
Sr1 0.000 0.222 0.250
Ru1 0.194 0.500 0.000
C1 0.000 0.439 0.750
C2 0.095 0.050 0.750
```

Largest 10 diffraction maxima, most intense first, 5 to 70 degrees two-theta:
hkl 2 2 0, 2θ = 30.98°, rel. 100.0; hkl 0 2 0, 2θ = 17.79°, rel. 93.9; hkl 0 2 2, 2θ = 38.04°, rel. 78.4; hkl 2 0 2, 2θ = 42.22°, rel. 57.1; hkl 0 4 0, 2θ = 36.02°, rel. 51.1; hkl 1 1 1, 2θ = 22.60°, rel. 50.0; hkl 2 4 2, 2θ = 56.68°, rel. 35.3; hkl 3 1 0, 2θ = 39.22°, rel. 33.5; hkl 3 3 2, 2θ = 59.04°, rel. 31.8; hkl 1 3 1, 2θ = 34.15°, rel. 30.3

***

Entry 8:
Diffraction record for AcZn6Pd4. The XRD peak list is calculated, not measured: it uses a crystal structure in Alexandria, relaxed with PBE and Cu Kα, 1.54184 Å.
Peak positions follow from Bragg's law for the DFT cell and can differ from measured ones.

Crystal structure
```
data_AcZn6Pd4
_symmetry_space_group_name_H-M 'P -6 m 2'
_symmetry_Int_Tables_number 187
_symmetry_space_group_name_Hall 'P -6 2'
_cell_length_a 7.3208
_cell_length_b 7.3208
_cell_length_c 4.2041
_cell_angle_alpha 90.00
_cell_angle_beta 90.00
_cell_angle_gamma 120.00
loop_
_atom_site_label
_atom_site_fract_x
_atom_site_fract_y
_atom_site_fract_z
Ac1 0.0000 0.0000 0.0000
Zn1 0.2067 0.4134 0.5000
Zn2 0.5371 0.0742 0.0000
Pd1 0.3333 0.6667 0.0000
Pd2 0.4047 0.2023 0.5000
```

Largest 10 diffraction maxima, most intense first, 5 to 70 degrees two-theta:
hkl 2 0 1, 2θ = 35.47°, rel. 100.0; hkl 1 1 1, 2θ = 32.43°, rel. 58.6; hkl 2 1 0, 2θ = 37.53°, rel. 55.9; hkl 3 0 1, 2θ = 48.19°, rel. 36.9; hkl 0 0 2, 2θ = 43.03°, rel. 35.4; hkl 2 1 2, 2θ = 58.40°, rel. 30.7; hkl 2 1 1, 2θ = 43.47°, rel. 27.1; hkl 2 2 0, 2θ = 49.82°, rel. 25.9; hkl 2 2 2, 2θ = 67.91°, rel. 20.1; hkl 3 1 1, 2θ = 56.75°, rel. 19.5

***

Entry 9:
Diffraction record for Sm2TiSe4. The XRD peak list is calculated, not measured: it uses a crystal structure in Alexandria, relaxed with PBE and Cu Kα, 1.54184 Å.
Peak positions follow from Bragg's law for the DFT cell and can differ from measured ones.

Crystal structure
```
data_Sm2TiSe4
_symmetry_space_group_name_H-M 'C 1 2/m 1'
_symmetry_Int_Tables_number 12
_cell_length_a 14.282
_cell_length_b 4.045
_cell_length_c 7.330
_cell_angle_alpha 90.00
_cell_angle_beta 120.04
_cell_angle_gamma 90.00
loop_
_symmetry_equiv_pos_as_xyz
'x,y,z'
'-x,-y,-z'
'-x,y,-z'
'x,-y,z'
'x+1/2,y+1/2,z'
'-x+1/2,-y+1/2,-z'
'-x+1/2,y+1/2,-z'
'x+1/2,-y+1/2,z'
loop_
_atom_site_label
_atom_site_fract_x
_atom_site_fract_y
_atom_site_fract_z
Sm1 0.231 0.000 0.221
Ti1 0.000 0.500 0.500
Se1 0.107 0.500 0.911
Se2 0.121 0.000 0.479
```

Largest 10 diffraction maxima, most intense first, 5 to 70 degrees two-theta:
hkl 1 1 1, 2θ = 28.97°, rel. 100.0; hkl 4 0 -2, 2θ = 28.49°, rel. 53.5; hkl 5 1 -1, 2θ = 38.81°, rel. 49.2; hkl 3 1 -3, 2θ = 43.26°, rel. 46.0; hkl 2 0 0, 2θ = 14.33°, rel. 36.9; hkl 3 1 1, 2θ = 38.53°, rel. 24.3; hkl 0 2 0, 2θ = 44.81°, rel. 24.1; hkl 2 0 2, 2θ = 37.80°, rel. 21.9; hkl 1 1 -1, 2θ = 25.15°, rel. 19.2; hkl 4 2 -2, 2θ = 53.97°, rel. 17.9

***

Entry 10:
Diffraction record for RbPm2Be2O6. The XRD peak list is calculated, not measured: it uses a crystal structure in Alexandria, relaxed with PBE and Cu Kα, 1.54184 Å.
Peak positions follow from Bragg's law for the DFT cell and can differ from measured ones.

Crystal structure
```
data_RbPm2Be2O6
_symmetry_space_group_name_H-M 'P -1'
_symmetry_Int_Tables_number 2
_cell_length_a 6.008
_cell_length_b 6.134
_cell_length_c 6.310
_cell_angle_alpha 92.02
_cell_angle_beta 117.04
_cell_angle_gamma 113.97
loop_
_symmetry_equiv_pos_as_xyz
'x,y,z'
'-x,-y,-z'
loop_
_atom_site_label
_atom_site_fract_x
_atom_site_fract_y
_atom_site_fract_z
Rb1 0.000 0.000 0.000
Pm1 0.361 0.293 0.661
Be1 0.290 0.724 0.705
O1 0.127 0.871 0.643
O2 0.311 0.583 0.911
O3 0.447 0.691 0.578
```

Largest 10 diffraction maxima, most intense first, 5 to 70 degrees two-theta:
hkl 1 -1 0, 2θ = 18.20°, rel. 100.0; hkl 0 2 -1, 2θ = 32.80°, rel. 71.8; hkl 1 0 1, 2θ = 30.91°, rel. 45.7; hkl 1 1 -1, 2θ = 27.06°, rel. 43.2; hkl 1 0 -2, 2θ = 28.38°, rel. 38.4; hkl 0 1 1, 2θ = 26.29°, rel. 29.0; hkl -2 1 2, 2θ = 35.03°, rel. 24.0; hkl -1 2 1, 2θ = 33.36°, rel. 16.0; hkl 2 -1 1, 2θ = 44.01°, rel. 13.8; hkl -1 1 1, 2θ = 20.73°, rel. 13.6

***

Entry 11:
Diffraction record for CaRuRh. The XRD peak list is calculated, not measured: it uses a crystal structure in Alexandria, relaxed with PBE and Cu Kα, 1.54184 Å.
Peak positions follow from Bragg's law for the DFT cell and can differ from measured ones.

Crystal structure
```
data_CaRuRh
_symmetry_space_group_name_H-M 'I m m a'
_symmetry_Int_Tables_number 74
_symmetry_space_group_name_Hall '-I 2b 2'
_cell_length_a 5.054
_cell_length_b 5.515
_cell_length_c 7.806
_cell_angle_alpha 90.00
_cell_angle_beta 90.00
_cell_angle_gamma 90.00
loop_
_atom_site_label
_atom_site_fract_x
_atom_site_fract_y
_atom_site_fract_z
Ca1 0.000 0.250 0.123
Ru1 0.250 0.250 0.750
Rh1 0.000 0.000 0.500
```

Largest 10 diffraction maxima, most intense first, 5 to 70 degrees two-theta:
hkl 1 2 1, 2θ = 38.95°, rel. 100.0; hkl 0 2 2, 2θ = 40.03°, rel. 73.0; hkl 2 0 2, 2θ = 42.62°, rel. 61.9; hkl 0 1 1, 2θ = 19.71°, rel. 56.9; hkl 2 1 1, 2θ = 40.95°, rel. 55.3; hkl 1 0 1, 2θ = 20.94°, rel. 51.8; hkl 2 2 4, 2θ = 69.79°, rel. 38.7; hkl 0 1 3, 2θ = 38.25°, rel. 34.3; hkl 2 2 0, 2θ = 48.89°, rel. 26.6; hkl 3 2 1, 2θ = 66.08°, rel. 19.9

***

Entry 12:
Diffraction record for Ac4YTe7. The XRD peak list is calculated, not measured: it uses a crystal structure in Alexandria, relaxed with PBE and Cu Kα, 1.54184 Å.
Peak positions follow from Bragg's law for the DFT cell and can differ from measured ones.

Crystal structure
```
data_Ac4YTe7
_symmetry_space_group_name_H-M 'C 1 m 1'
_symmetry_Int_Tables_number 8
_cell_length_a 15.403
_cell_length_b 4.566
_cell_length_c 13.589
_cell_angle_alpha 90.00
_cell_angle_beta 105.01
_cell_angle_gamma 90.00
loop_
_symmetry_equiv_pos_as_xyz
'x,y,z'
'x,-y,z'
'x+1/2,y+1/2,z'
'x+1/2,-y+1/2,z'
loop_
_atom_site_label
_atom_site_fract_x
_atom_site_fract_y
_atom_site_fract_z
Ac1 0.000 0.000 0.000
Ac2 0.100 0.000 0.447
Ac3 0.201 0.500 0.821
Ac4 0.305 0.000 0.217
Y1 0.373 0.500 0.581
Te1 0.034 0.000 0.770
Te2 0.162 0.500 0.063
Te3 0.228 0.500 0.370
Te4 0.268 0.000 0.662
Te5 0.338 0.000 0.966
Te6 0.458 0.000 0.485
Te7 0.461 0.500 0.224
```

Largest 10 diffraction maxima, most intense first, 5 to 70 degrees two-theta:
hkl 0 2 0, 2θ = 39.47°, rel. 100.0; hkl 3 1 0, 2θ = 26.54°, rel. 92.0; hkl 3 1 -2, 2θ = 27.63°, rel. 81.8; hkl 2 0 3, 2θ = 26.19°, rel. 80.2; hkl 1 1 4, 2θ = 35.45°, rel. 68.1; hkl 3 1 1, 2θ = 28.56°, rel. 66.4; hkl 3 1 -3, 2θ = 30.57°, rel. 58.8; hkl 2 0 2, 2θ = 20.23°, rel. 55.2; hkl 6 0 1, 2θ = 38.66°, rel. 51.1; hkl 2 0 -3, 2θ = 20.72°, rel. 47.9